1.
Calculated XRD peak list of BaBi4Pb7 for Cu Kα (weighted mean of Kα1 and Kα2), from DFT lattice parameters and positions (PBE).
Lines closer than 0.1° are merged.

Structure:
Lattice parameters (Å, degrees): 14.0259 6.6430 10.5895 90.00 120.80 90.00
Space group C2/m (No. 12)
Inequivalent atoms, fractional coordinates:
1 Ba 0.0000 0.0000 0.0000
2 Bi 0.0090 0.5000 0.3274
3 Bi 0.2497 0.0000 0.6633
4 Pb 0.0000 0.5000 0.0000
5 Pb 0.0032 0.0000 0.6521
6 Pb 0.2214 0.5000 0.6503
7 Pb 0.2371 0.5000 0.0155

Principal peaks in the range 2θ = 10–80°, most intense first:
- hkl 0 2 0, 2θ = 26.8°, intensity 1000
- hkl 0 0 3, 2θ = 29.5°, intensity 774
- hkl 4 0 -3, 2θ = 29.2°, intensity 708
- hkl 4 0 0, 2θ = 29.7°, intensity 707
- hkl 0 2 3, 2θ = 40.3°, intensity 667
- hkl 4 2 0, 2θ = 40.4°, intensity 661
- hkl 4 2 -3, 2θ = 40.1°, intensity 618
- hkl 4 2 3, 2θ = 60.1°, intensity 184

2.
Calculated XRD peak list of Ba6BiPb2 for Cu Kα (weighted mean of Kα1 and Kα2), from DFT lattice parameters and positions (PBE).
Lines closer than 0.1° are merged.

Structure:
Lattice parameters (Å, degrees): 8.1236 9.4906 14.7123 90.00 123.47 90.00
Space group P2_1/c (No. 14)
Inequivalent atoms, fractional coordinates:
1 Ba 0.1085 0.0571 0.2418
2 Ba 0.2389 0.6796 0.0777
3 Ba 0.3887 0.1778 0.0627
4 Bi 0.5000 0.0000 0.5000
5 Pb 0.2975 0.0975 0.7584

Principal peaks in the range 2θ = 10–80°, most intense first:
- hkl 1 1 -4, 2θ = 26.1°, intensity 1000
- hkl 2 1 -3, 2θ = 24.9°, intensity 663
- hkl 3 1 -1, 2θ = 37.5°, intensity 601
- hkl 1 3 -2, 2θ = 31.2°, intensity 425
- hkl 1 0 2, 2θ = 24.4°, intensity 413
- hkl 1 1 1, 2θ = 20.4°, intensity 315
- hkl 1 3 -1, 2θ = 30.3°, intensity 304
- hkl 0 2 3, 2θ = 28.8°, intensity 299

3.
Calculated XRD peak list of BaBi4Pb4 for Cu Kα (weighted mean of Kα1 and Kα2), from DFT lattice parameters and positions (PBE).
Lines closer than 0.1° are merged.

Structure:
Lattice parameters (Å, degrees): 7.2420 7.2420 12.3378 90.00 90.00 90.00
Space group P4_2/nmc (No. 137, origin choice 2)
Inequivalent atoms, fractional coordinates:
1 Ba 0.2500 0.7500 0.2500
2 Bi 0.0231 0.2500 0.0296
3 Pb 0.0305 0.2500 0.3205

Principal peaks in the range 2θ = 10–80°, most intense first:
- hkl 2 0 3, 2θ = 33.0°, intensity 1000
- hkl 2 1 1, 2θ = 28.5°, intensity 557
- hkl 2 2 0, 2θ = 35.0°, intensity 408
- hkl 1 0 4, 2θ = 31.5°, intensity 338
- hkl 4 2 3, 2θ = 61.5°, intensity 278
- hkl 3 2 4, 2θ = 54.5°, intensity 224
- hkl 4 0 0, 2θ = 50.4°, intensity 187
- hkl 2 0 1, 2θ = 25.6°, intensity 186

4.
Calculated XRD peak list of BaBi2Pd2Pb for Cu Kα (weighted mean of Kα1 and Kα2), from DFT lattice parameters and positions (PBE).
Lines closer than 0.1° are merged.

Structure:
Lattice parameters (Å, degrees): 5.2016 5.2016 6.8301 90.00 90.00 90.00
Space group P4/mmm (No. 123)
Inequivalent atoms, fractional coordinates:
1 Ba 0.0000 0.0000 0.0000
2 Bi 0.5000 0.5000 0.2522
3 Pd 0.0000 0.5000 0.5000
4 Pb 0.0000 0.0000 0.5000

Principal peaks in the range 2θ = 10–80°, most intense first:
- hkl 1 0 2, 2θ = 31.3°, intensity 1000
- hkl 2 1 2, 2θ = 47.3°, intensity 653
- hkl 2 0 0, 2θ = 34.5°, intensity 648
- hkl 1 1 0, 2θ = 24.2°, intensity 472
- hkl 0 0 1, 2θ = 13.0°, intensity 311
- hkl 2 2 0, 2θ = 49.6°, intensity 235
- hkl 2 0 4, 2θ = 65.4°, intensity 207
- hkl 3 2 2, 2θ = 70.9°, intensity 201

5.
Calculated XRD peak list of BaBi4Pd9 for Cu Kα (weighted mean of Kα1 and Kα2), from DFT lattice parameters and positions (PBE).
Lines closer than 0.1° are merged.

Structure:
Lattice parameters (Å, degrees): 9.2390 9.2390 13.8207 90.00 90.00 90.00
Space group I4/mcm (No. 140)
Inequivalent atoms, fractional coordinates:
1 Ba 0.0000 0.0000 0.2500
2 Bi 0.1772 0.3228 0.1229
3 Pd 0.0000 0.5000 0.0000
4 Pd 0.0649 0.2040 0.5000
5 Pd 0.1191 0.3809 0.3185

Principal peaks in the range 2θ = 10–80°, most intense first:
- hkl 2 1 5, 2θ = 39.2°, intensity 1000
- hkl 4 1 1, 2θ = 40.8°, intensity 957
- hkl 2 0 4, 2θ = 32.4°, intensity 665
- hkl 3 1 2, 2θ = 33.3°, intensity 598
- hkl 3 2 3, 2θ = 40.3°, intensity 575
- hkl 3 3 0, 2θ = 41.5°, intensity 380
- hkl 3 1 4, 2θ = 40.4°, intensity 360
- hkl 1 1 0, 2θ = 13.6°, intensity 354

6.
Calculated XRD peak list of Ba2Bi3Pd9 for Cu Kα (weighted mean of Kα1 and Kα2), from DFT lattice parameters and positions (PBE).
Lines closer than 0.1° are merged.

Structure:
Lattice parameters (Å, degrees): 14.3277 8.6492 9.7903 90.00 90.00 90.00
Space group Cmcm (No. 63)
Inequivalent atoms, fractional coordinates:
1 Ba 0.1530 0.1790 0.2500
2 Bi 0.0000 0.0000 0.0000
3 Bi 0.1798 0.5000 0.0000
4 Pd 0.0000 0.1487 0.7500
5 Pd 0.0000 0.3380 0.0009
6 Pd 0.0966 0.4387 0.7500
7 Pd 0.1665 0.1765 0.5886

Principal peaks in the range 2θ = 10–80°, most intense first:
- hkl 3 3 0, 2θ = 36.4°, intensity 1000
- hkl 0 0 4, 2θ = 36.7°, intensity 626
- hkl 3 1 3, 2θ = 34.9°, intensity 526
- hkl 3 3 2, 2θ = 40.9°, intensity 517
- hkl 6 0 0, 2θ = 37.7°, intensity 425
- hkl 3 1 2, 2θ = 28.1°, intensity 313
- hkl 3 1 4, 2θ = 42.8°, intensity 263
- hkl 0 0 2, 2θ = 18.1°, intensity 261

7.
Calculated XRD peak list of BaBiPd4 for Cu Kα (weighted mean of Kα1 and Kα2), from DFT lattice parameters and positions (PBE).
Lines closer than 0.1° are merged.

Structure:
Lattice parameters (Å, degrees): 7.8087 4.4202 8.5043 90.00 90.00 90.00
Space group Pmma (No. 51)
Inequivalent atoms, fractional coordinates:
1 Ba 0.2500 0.0000 0.1677
2 Bi 0.2500 0.0000 0.7367
3 Pd 0.0000 0.0000 0.5000
4 Pd 0.0492 0.5000 0.7156
5 Pd 0.2500 0.5000 0.4440

Principal peaks in the range 2θ = 10–80°, most intense first:
- hkl 2 1 2, 2θ = 37.3°, intensity 1000
- hkl 0 0 1, 2θ = 10.4°, intensity 606
- hkl 0 2 0, 2θ = 40.8°, intensity 298
- hkl 0 0 2, 2θ = 20.9°, intensity 212
- hkl 1 0 3, 2θ = 33.6°, intensity 203
- hkl 2 1 0, 2θ = 30.5°, intensity 195
- hkl 2 1 1, 2θ = 32.4°, intensity 184
- hkl 3 1 1, 2θ = 41.6°, intensity 170

8.
Calculated XRD peak list of Ba12BiPd6 for Cu Kα (weighted mean of Kα1 and Kα2), from DFT lattice parameters and positions (PBE).
Lines closer than 0.1° are merged.

Structure:
Lattice parameters (Å, degrees): 11.5252 11.5252 11.5252 90.00 90.00 90.00
Space group Im-3 (No. 204)
Inequivalent atoms, fractional coordinates:
1 Ba 0.0000 0.3090 0.1807
2 Bi 0.0000 0.0000 0.0000
3 Pd 0.0000 0.1200 0.5000

Principal peaks in the range 2θ = 10–80°, most intense first:
- hkl 3 1 2, 2θ = 29.0°, intensity 1000
- hkl 4 3 1, 2θ = 39.9°, intensity 338
- hkl 2 2 2, 2θ = 26.8°, intensity 259
- hkl 5 2 3, 2θ = 48.7°, intensity 239
- hkl 5 3 0, 2θ = 45.9°, intensity 225
- hkl 3 0 1, 2θ = 24.4°, intensity 181
- hkl 5 3 4, 2θ = 56.5°, intensity 167
- hkl 6 6 0, 2θ = 69.2°, intensity 156